Theoretical powder diffraction line list
Compound: Y2Be2SiO7
Radiation: Cu Kα X-rays
Structure: a DFT-relaxed cell (GGA-PBE, the Materials Project)
Kinematic intensities with the Lorentz-polarization factor, no thermal factor.

Structural model:
```
data_Y2Be2SiO7
_cell_length_a 7.3494
_cell_length_b 7.3494
_cell_length_c 4.8014
_cell_angle_alpha 90.00
_cell_angle_beta 90.00
_cell_angle_gamma 90.00
_space_group_name_H-M_alt 'P -4 21 m'
_space_group_IT_number 113
_space_group_name_Hall 'P -4 2ab'
loop_
_atom_site_label
_atom_site_type_symbol
_atom_site_fract_x
_atom_site_fract_y
_atom_site_fract_z
Y1 Y 0.1590 0.3410 0.0075
Be1 Be 0.1367 0.6367 0.5402
Si1 Si 0.0000 0.0000 0.5000
O1 O 0.0000 0.5000 0.6814
O2 O 0.0817 0.8371 0.6988
O3 O 0.1413 0.6413 0.2089
```

Principal peaks in the range 2θ from 5° to 70°, by intensity:
- 2.712 Å, 33.03 deg, rel. 100
- 1.939 Å, 46.86 deg, rel. 44
- 2.918 Å, 30.64 deg, rel. 37
- 1.670 Å, 54.98 deg, rel. 36
- 3.527 Å, 25.25 deg, rel. 35
- 4.801 Å, 18.48 deg, rel. 35
- 3.287 Å, 27.13 deg, rel. 34
- 1.629 Å, 56.47 deg, rel. 19
- 2.324 Å, 38.75 deg, rel. 17
- 2.092 Å, 43.25 deg, rel. 16